Computed X-ray diffraction stick pattern of Cs4KRb9 for a wavelength of 1.5418 Å, from a crystal structure in Alexandria, relaxed with PBE.
Neutral-atom scattering factors, no anomalous dispersion.

```
Cs4KRb9
1.0
-8.025 8.025 11.681
8.025 -8.025 11.681
8.025 8.025 -11.681
Cs K Rb
8 2 18
direct
0.058 0.558 0.873
0.186 0.058 0.500
0.314 0.814 0.873
0.442 0.314 0.500
0.558 0.686 0.500
0.686 0.186 0.127
0.814 0.942 0.500
0.942 0.442 0.127
0.250 0.250 0.000
0.750 0.750 0.000
0.000 0.500 0.500
0.057 0.202 0.260
0.066 0.788 0.500
0.202 0.943 0.145
0.212 0.712 0.278
0.288 0.566 0.500
0.298 0.443 0.740
0.434 0.934 0.722
0.443 0.702 0.145
0.500 0.000 0.500
0.557 0.298 0.855
0.566 0.066 0.278
0.702 0.557 0.260
0.712 0.434 0.500
0.788 0.288 0.722
0.798 0.057 0.855
0.934 0.212 0.500
0.943 0.798 0.740
```

Peak list (10 most intense, 2θ = 15–90°, low angle first)
d = 4.722 Å, rel. 36; d = 4.655 Å, rel. 34; d = 3.916 Å, rel. 46; d = 3.894 Å, rel. 16; d = 3.865 Å, rel. 64; d = 3.837 Å, rel. 100; d = 3.787 Å, rel. 36; d = 2.534 Å, rel. 26; d = 2.499 Å, rel. 17; d = 2.121 Å, rel. 17